# Sr7Mn4O13
Computed PXRD pattern, a wavelength of 1.5418 Å. Input: a PBE+U-relaxed structure.

Main lines, low angle first (2θ from 10° to 90°):
d = 3.253 Å, 27.4°, I 26
d = 3.185 Å, 28.0°, I 28
d = 2.853 Å, 31.4°, I 100
d = 2.768 Å, 32.3°, I 46
d = 2.485 Å, 36.1°, I 26
d = 2.157 Å, 41.9°, I 24

```
data_Sr7Mn4O13
_chemical_formula_sum 'Sr14 Mn8 O26'
_cell_length_a 6.941
_cell_length_b 9.984
_cell_length_c 10.295
_cell_angle_alpha 90.00
_cell_angle_beta 94.56
_cell_angle_gamma 90.00
_space_group_name_H-M_alt 'P 1 21/c 1'
_space_group_IT_number 14
loop_
_space_group_symop_operation_xyz
'x,y,z'
'-x,-y,-z'
'-x,y+1/2,-z+1/2'
'x,-y+1/2,z+1/2'
loop_
_atom_site_label
_atom_site_type_symbol
_atom_site_fract_x
_atom_site_fract_y
_atom_site_fract_z
Sr1 Sr 0.000 0.000 0.000
Sr2 Sr 0.163 0.141 0.303
Sr3 Sr 0.338 0.009 0.658
Sr4 Sr 0.493 0.177 0.039
Mn1 Mn 0.073 0.665 0.921
Mn2 Mn 0.273 0.676 0.719
O1 O 0.000 0.000 0.500
O2 O 0.007 0.603 0.725
O3 O 0.161 0.247 0.543
O4 O 0.174 0.675 0.330
O5 O 0.340 0.590 0.917
O6 O 0.348 0.528 0.619
O7 O 0.496 0.226 0.302
```

# Li2VPO4F
Computed PXRD pattern, a wavelength of 1.5418 Å. Input: a PBE+U-relaxed structure.

Main lines, low angle first (2θ from 10° to 90°):
d = 5.092 Å, 17.4°, I 26
d = 3.510 Å, 25.4°, I 20
d = 3.433 Å, 26.0°, I 37
d = 3.372 Å, 26.4°, I 100
d = 3.299 Å, 27.0°, I 60
d = 2.707 Å, 33.1°, I 21

```
data_Li2VPO4F
_chemical_formula_sum 'Li4 V2 P2 O8 F2'
_cell_length_a 5.433
_cell_length_b 5.444
_cell_length_c 7.453
_cell_angle_alpha 107.56
_cell_angle_beta 107.42
_cell_angle_gamma 94.79
_space_group_name_H-M_alt 'P 1'
_space_group_IT_number 1
loop_
_space_group_symop_operation_xyz
'x,y,z'
loop_
_atom_site_label
_atom_site_type_symbol
_atom_site_fract_x
_atom_site_fract_y
_atom_site_fract_z
Li1 Li 0.000 0.000 0.000
Li2 Li 0.026 0.218 0.392
Li3 Li 0.296 0.506 0.238
Li4 Li 0.674 0.596 0.651
V1 V 0.509 0.053 0.038
V2 V 0.518 0.050 0.542
P1 P 0.171 0.429 0.790
P2 P 0.863 0.681 0.296
O1 O 0.154 0.776 0.433
O2 O 0.186 0.725 0.897
O3 O 0.229 0.290 0.949
O4 O 0.365 0.385 0.671
O5 O 0.662 0.706 0.410
O6 O 0.804 0.853 0.161
O7 O 0.841 0.382 0.184
O8 O 0.890 0.314 0.630
F1 F 0.345 0.162 0.279
F2 F 0.662 0.947 0.801
```

# LaCrSnO6
Computed PXRD pattern, a wavelength of 1.5418 Å. Input: a PBE+U-relaxed structure.

Main lines, low angle first (2θ from 10° to 90°):
d = 4.519 Å, 19.6°, I 75
d = 4.502 Å, 19.7°, I 25
d = 2.770 Å, 32.3°, I 100
d = 2.761 Å, 32.4°, I 25
d = 2.750 Å, 32.6°, I 24
d = 2.365 Å, 38.1°, I 31

```
data_LaCrSnO6
_chemical_formula_sum 'La1 Cr1 Sn1 O6'
_cell_length_a 5.500
_cell_length_b 5.523
_cell_length_c 5.534
_cell_angle_alpha 90.55
_cell_angle_beta 119.68
_cell_angle_gamma 119.60
_space_group_name_H-M_alt 'P 1'
_space_group_IT_number 1
loop_
_space_group_symop_operation_xyz
'x,y,z'
loop_
_atom_site_label
_atom_site_type_symbol
_atom_site_fract_x
_atom_site_fract_y
_atom_site_fract_z
La1 La 0.000 0.000 0.000
Cr1 Cr 0.510 0.762 0.253
Sn1 Sn 0.505 0.258 0.750
O1 O 0.027 0.567 0.021
O2 O 0.423 0.433 0.005
O3 O 0.512 0.558 0.522
O4 O 0.531 0.967 0.969
O5 O 0.543 0.051 0.464
O6 O 0.977 0.961 0.441
```

# Mn2Cu3H24O12F12
Computed PXRD pattern, a wavelength of 1.5418 Å. Input: a PBE+U-relaxed structure.

Main lines, low angle first (2θ from 10° to 90°):
d = 4.546 Å, 19.5°, I 59
d = 4.128 Å, 21.5°, I 100
d = 3.819 Å, 23.3°, I 80
d = 3.759 Å, 23.7°, I 100
d = 2.804 Å, 31.9°, I 64
d = 1.733 Å, 52.8°, I 60

```
data_Mn2Cu3H24O12F12
_chemical_formula_sum 'Mn2 Cu3 H24 O12 F12'
_cell_length_a 7.539
_cell_length_b 7.654
_cell_length_c 8.261
_cell_angle_alpha 89.82
_cell_angle_beta 88.00
_cell_angle_gamma 86.28
_space_group_name_H-M_alt 'P -1'
_space_group_IT_number 2
loop_
_space_group_symop_operation_xyz
'x,y,z'
'-x,-y,-z'
loop_
_atom_site_label
_atom_site_type_symbol
_atom_site_fract_x
_atom_site_fract_y
_atom_site_fract_z
Mn1 Mn 0.000 0.000 0.000
Mn2 Mn 0.500 0.500 0.500
Cu1 Cu 0.000 0.000 0.500
Cu2 Cu 0.000 0.500 0.000
Cu3 Cu 0.500 0.000 0.000
H1 H 0.029 0.285 0.774
H2 H 0.052 0.759 0.702
H3 H 0.110 0.677 0.527
H4 H 0.202 0.400 0.755
H5 H 0.240 0.504 0.210
H6 H 0.292 0.888 0.220
H7 H 0.319 0.119 0.483
H8 H 0.330 0.384 0.070
H9 H 0.335 0.930 0.561
H10 H 0.353 0.728 0.924
H11 H 0.479 0.774 0.772
H12 H 0.486 0.786 0.240
O1 O 0.022 0.759 0.585
O2 O 0.073 0.405 0.786
O3 O 0.245 0.487 0.091
O4 O 0.252 0.036 0.548
O5 O 0.424 0.900 0.212
O6 O 0.473 0.766 0.896
F1 F 0.084 0.888 0.224
F2 F 0.096 0.784 0.892
F3 F 0.217 0.098 0.970
F4 F 0.270 0.546 0.422
F5 F 0.408 0.412 0.702
F6 F 0.492 0.766 0.592
```

# MgV2O4
Computed PXRD pattern, a wavelength of 1.5418 Å. Input: a PBE+U-relaxed structure.

Main lines, low angle first (2θ from 10° to 90°):
d = 3.023 Å, 29.6°, I 40
d = 2.588 Å, 34.7°, I 51
d = 2.578 Å, 34.8°, I 100
d = 1.644 Å, 55.9°, I 34
d = 1.516 Å, 61.1°, I 26
d = 1.513 Å, 61.3°, I 39

```
data_MgV2O4
_chemical_formula_sum 'Mg12 V24 O48'
_cell_length_a 10.487
_cell_length_b 6.046
_cell_length_c 14.835
_cell_angle_alpha 90.00
_cell_angle_beta 90.38
_cell_angle_gamma 90.00
_space_group_name_H-M_alt 'C 1 m 1'
_space_group_IT_number 8
loop_
_space_group_symop_operation_xyz
'x,y,z'
'x,-y,z'
'x+1/2,y+1/2,z'
'x+1/2,-y+1/2,z'
loop_
_atom_site_label
_atom_site_type_symbol
_atom_site_fract_x
_atom_site_fract_y
_atom_site_fract_z
Mg1 Mg 0.000 0.000 0.000
Mg2 Mg 0.001 0.500 0.500
Mg3 Mg 0.168 0.500 0.667
Mg4 Mg 0.330 0.500 0.209
Mg5 Mg 0.334 0.000 0.335
Mg6 Mg 0.336 0.500 0.833
V1 V 0.004 0.500 0.127
V2 V 0.085 0.246 0.334
V3 V 0.164 0.000 0.545
V4 V 0.168 0.000 0.170
V5 V 0.173 0.000 0.791
V6 V 0.253 0.253 0.000
V7 V 0.339 0.500 0.457
V8 V 0.418 0.249 0.667
V9 V 0.498 0.000 0.876
O1 O 0.003 0.500 0.258
O2 O 0.012 0.000 0.256
O3 O 0.078 0.266 0.587
O4 O 0.094 0.234 0.083
O5 O 0.161 0.500 0.412
O6 O 0.166 0.000 0.413
O7 O 0.169 0.000 0.925
O8 O 0.176 0.500 0.922
O9 O 0.238 0.231 0.253
O10 O 0.262 0.262 0.746
O11 O 0.327 0.000 0.081
O12 O 0.333 0.500 0.074
O13 O 0.337 0.500 0.591
O14 O 0.342 0.000 0.588
O15 O 0.410 0.261 0.920
O16 O 0.423 0.237 0.414
O17 O 0.495 0.500 0.746
O18 O 0.499 0.000 0.744
```

# LiFeP4O12
Computed PXRD pattern, a wavelength of 1.5418 Å. Input: a PBE+U-relaxed structure.

Main lines, low angle first (2θ from 10° to 90°):
d = 6.544 Å, 13.5°, I 36
d = 4.828 Å, 18.4°, I 43
d = 4.224 Å, 21.0°, I 38
d = 4.113 Å, 21.6°, I 64
d = 3.757 Å, 23.7°, I 34
d = 3.297 Å, 27.0°, I 100

```
data_LiFeP4O12
_chemical_formula_sum 'Li4 Fe4 P16 O48'
_cell_length_a 15.461
_cell_length_b 7.371
_cell_length_c 9.719
_cell_angle_alpha 90.00
_cell_angle_beta 122.17
_cell_angle_gamma 90.00
_space_group_name_H-M_alt 'C 1 2/c 1'
_space_group_IT_number 15
loop_
_space_group_symop_operation_xyz
'x,y,z'
'-x,-y,-z'
'-x,y,-z+1/2'
'x,-y,z+1/2'
'x+1/2,y+1/2,z'
'-x+1/2,-y+1/2,-z'
'-x+1/2,y+1/2,-z+1/2'
'x+1/2,-y+1/2,z+1/2'
loop_
_atom_site_label
_atom_site_type_symbol
_atom_site_fract_x
_atom_site_fract_y
_atom_site_fract_z
Li1 Li 0.000 0.197 0.250
Fe1 Fe 0.000 0.358 0.750
P1 P 0.132 0.079 0.640
P2 P 0.135 0.331 0.161
O1 O 0.067 0.419 0.210
O2 O 0.078 0.084 0.461
O3 O 0.097 0.201 0.727
O4 O 0.110 0.355 0.990
O5 O 0.137 0.122 0.210
O6 O 0.249 0.391 0.289
```

# MgFe6O10F2
Computed PXRD pattern, a wavelength of 1.5418 Å. Input: a PBE+U-relaxed structure.

Main lines, low angle first (2θ from 10° to 90°):
d = 3.753 Å, 23.7°, I 100
d = 3.223 Å, 27.7°, I 98
d = 2.548 Å, 35.2°, I 51
d = 2.525 Å, 35.6°, I 52
d = 2.488 Å, 36.1°, I 27
d = 2.338 Å, 38.5°, I 22

```
data_MgFe6O10F2
_chemical_formula_sum 'Mg1 Fe6 O10 F2'
_cell_length_a 5.102
_cell_length_b 5.687
_cell_length_c 7.546
_cell_angle_alpha 82.76
_cell_angle_beta 84.72
_cell_angle_gamma 82.49
_space_group_name_H-M_alt 'P 1'
_space_group_IT_number 1
loop_
_space_group_symop_operation_xyz
'x,y,z'
loop_
_atom_site_label
_atom_site_type_symbol
_atom_site_fract_x
_atom_site_fract_y
_atom_site_fract_z
Mg1 Mg 0.000 0.000 0.000
Fe1 Fe 0.047 0.028 0.515
Fe2 Fe 0.059 0.397 0.192
Fe3 Fe 0.486 0.158 0.816
Fe4 Fe 0.487 0.488 0.500
Fe5 Fe 0.494 0.827 0.169
Fe6 Fe 0.926 0.604 0.803
O1 O 0.141 0.330 0.934
O2 O 0.164 0.040 0.251
O3 O 0.166 0.691 0.593
O4 O 0.323 0.193 0.591
O5 O 0.347 0.537 0.264
O6 O 0.368 0.872 0.934
O7 O 0.642 0.451 0.734
O8 O 0.830 0.318 0.408
O9 O 0.838 0.970 0.752
O10 O 0.853 0.677 0.067
F1 F 0.649 0.804 0.404
F2 F 0.650 0.150 0.075
```

# Li7FeNi3P6O24
Computed PXRD pattern, a wavelength of 1.5418 Å. Input: a PBE+U-relaxed structure.

Main lines, low angle first (2θ from 10° to 90°):
d = 6.219 Å, 14.2°, I 34
d = 4.401 Å, 20.2°, I 100
d = 3.749 Å, 23.7°, I 99
d = 3.109 Å, 28.7°, I 46
d = 2.786 Å, 32.1°, I 53
d = 2.535 Å, 35.4°, I 41

```
data_Li7FeNi3P6O24
_chemical_formula_sum 'Li21 Fe3 Ni9 P18 O72'
_cell_length_a 8.7781
_cell_length_b 8.7781
_cell_length_c 21.6269
_cell_angle_alpha 90.00
_cell_angle_beta 90.00
_cell_angle_gamma 120.00
_space_group_name_H-M_alt 'R 3'
_space_group_IT_number 146
_space_group_name_Hall 'R 3'
loop_
_atom_site_label
_atom_site_type_symbol
_atom_site_fract_x
_atom_site_fract_y
_atom_site_fract_z
Li1 Li 0.0000 0.0000 0.0000
Li2 Li 0.0259 0.4176 0.7904
Li3 Li 0.0550 0.6121 0.2447
Fe1 Fe 0.0000 0.0000 0.3800
Ni1 Ni 0.0000 0.0000 0.1732
Ni2 Ni 0.0000 0.0000 0.6711
Ni3 Ni 0.0000 0.0000 0.8760
P1 P 0.0031 0.7088 0.7745
P2 P 0.0046 0.2934 0.2752
O1 O 0.0101 0.1889 0.9405
O2 O 0.0237 0.8171 0.7165
O3 O 0.0309 0.2169 0.2135
O4 O 0.1487 0.4726 0.9987
O5 O 0.1508 0.7110 0.5005
O6 O 0.1570 0.6871 0.1031
O7 O 0.1777 0.4763 0.2748
O8 O 0.1868 0.7193 0.7785
```